[1]
Simulated powder diffractogram of Sm5ErAl6 for CuKα, from a structure optimized by DFT (PBE).
Peak positions follow from Bragg's law for the DFT cell and can differ from measured ones.

Peak list (8 most intense, 2θ from 10° to 90°, in order of falling intensity)
2θ = 34.6°, intensity 100.0
2θ = 24.3°, intensity 59.9
2θ = 62.1°, intensity 36.5
2θ = 42.8°, intensity 18.3
2θ = 56.1°, intensity 16.4
2θ = 49.8°, intensity 11.9
2θ = 83.4°, intensity 10.6
2θ = 56.3°, intensity 8.3

Crystal structure
```
12
Lattice="-2.591 3.655 7.773 2.591 -3.655 7.773 2.591 3.655 -7.773" Properties=species:S:1:pos:R:3 pbc="T T T"
Sm 0.000 0.000 0.000
Sm 2.591 0.000 2.559
Sm 0.000 0.000 5.123
Sm 0.000 0.000 10.424
Sm 0.000 3.655 5.214
Er 0.000 3.655 0.000
Al 2.591 -1.782 5.224
Al 2.591 1.917 0.000
Al 0.000 1.873 2.549
Al 2.591 1.782 5.224
Al 0.000 1.738 7.773
Al 0.000 5.437 2.549
```



[2]
Simulated powder diffractogram of Tb12DyTh2 for CuKα, from a structure optimized by DFT (PBE).
Peak positions follow from Bragg's law for the DFT cell and can differ from measured ones.

Peak list (8 most intense, 2θ from 10° to 90°, in order of falling intensity)
2θ = 32.1°, intensity 100.0
2θ = 32.6°, intensity 96.2
2θ = 30.0°, intensity 88.8
2θ = 31.3°, intensity 74.2
2θ = 33.2°, intensity 70.3
2θ = 30.4°, intensity 62.9
2θ = 32.2°, intensity 62.4
2θ = 46.1°, intensity 45.4

Crystal structure
```
30
Lattice="3.539 -5.575 0.000 3.539 5.575 0.000 -1.789 0.000 24.652" Properties=species:S:1:pos:R:3 pbc="T T T"
Tb 1.770 2.822 4.956
Tb 1.764 2.945 8.131
Tb 1.771 2.904 13.684
Tb 0.148 0.000 13.907
Tb -0.028 0.000 21.321
Tb 1.749 2.787 22.856
Tb 3.540 2.787 1.796
Tb 1.769 0.000 3.346
Tb 1.742 0.000 10.074
Tb 3.518 2.904 10.968
Tb 3.525 2.945 16.521
Tb 3.519 2.822 19.695
Tb 1.770 -2.822 4.956
Tb 1.764 -2.945 8.131
Tb 1.771 -2.904 13.684
Tb 3.547 0.000 14.578
Tb 3.520 0.000 21.306
Tb 1.749 -2.787 22.856
Tb 3.540 -2.787 1.796
Tb 5.317 0.000 3.331
Tb 5.141 0.000 10.744
Tb 3.518 -2.904 10.968
Tb 3.525 -2.945 16.521
Tb 3.519 -2.822 19.695
Dy 1.767 0.000 0.001
Dy 3.522 0.000 24.650
Th 0.075 0.000 6.625
Th 1.831 0.000 18.044
Th 3.458 0.000 6.607
Th 5.214 0.000 18.027
```



[3]
Simulated powder diffractogram of SmHo3Tm2S6 for CuKα, from a structure optimized by DFT (PBE).
Peak positions follow from Bragg's law for the DFT cell and can differ from measured ones.

Peak list (8 most intense, 2θ from 10° to 90°, in order of falling intensity)
2θ = 32.5°, intensity 100.0
2θ = 46.7°, intensity 59.8
2θ = 28.1°, intensity 41.8
2θ = 28.1°, intensity 41.7
2θ = 55.4°, intensity 27.0
2θ = 77.6°, intensity 15.9
2θ = 55.3°, intensity 13.5
2θ = 58.2°, intensity 12.4

Crystal structure
```
12
Lattice="3.363 -5.850 0.000 3.363 5.850 0.000 -2.249 0.000 6.348" Properties=species:S:1:pos:R:3 pbc="T T T"
Sm 0.000 0.000 0.000
Ho 2.239 3.958 3.174
Ho 2.239 0.000 3.174
Ho 2.239 -3.958 3.174
Tm 3.363 1.940 0.000
Tm 3.363 -1.940 0.000
S 1.152 2.008 1.600
S 0.059 0.000 4.770
S 1.152 -2.008 1.600
S 3.326 2.008 4.748
S 4.419 0.000 1.578
S 3.326 -2.008 4.748
```